No. 1
Diffraction record for Dy2MgNi9. The powder diffraction line list is calculated, not measured: it uses a structure optimized by DFT (GGA-PBE) and Cu Kα X-rays.

Crystal structure
Unit cell a=8.5392 b=8.5392 c=8.5392 alpha=33.46 beta=33.46 gamma=33.46
Element x y z (fractional)
Dy  0.1361  0.1361  0.1361
Dy  0.8639  0.8639  0.8639
Mg  0.0000  0.0000  0.0000
Ni  0.0803  0.5818  0.5818
Ni  0.3330  0.3330  0.3330
Ni  0.4182  0.4182  0.9197
Ni  0.4182  0.9197  0.4182
Ni  0.5000  0.5000  0.5000
Ni  0.5818  0.0803  0.5818
Ni  0.5818  0.5818  0.0803
Ni  0.6670  0.6670  0.6670
Ni  0.9197  0.4182  0.4182

Peak list (10 most intense, 2θ from 5° to 70°, sorted by position)
2theta	d_spacing	I (rel.)
11.0	8.054	45
25.6	3.480	37
33.4	2.681	42
36.5	2.461	96
38.3	2.351	18
42.6	2.121	40
43.1	2.099	100
45.2	2.008	36
46.6	1.950	92
65.8	1.420	24

***

No. 2
Diffraction record for Tl6Sb. The powder diffraction line list is calculated, not measured: it uses a structure optimized by DFT (GGA-PBE) and Cu Kα X-rays.

Crystal structure
Unit cell a=9.1483 b=9.1483 c=3.4437 alpha=90.00 beta=90.00 gamma=120.00
Element x y z (fractional)
Tl  0.0000  0.3379  0.2272
Tl  0.0000  0.6621  0.7728
Tl  0.3379  0.0000  0.2272
Tl  0.3379  0.3379  0.7728
Tl  0.6621  0.0000  0.7728
Tl  0.6621  0.6621  0.2272
Sb  0.0000  0.0000  0.5000

Peak list (10 most intense, 2θ from 5° to 70°, sorted by position)
2theta	d_spacing	I (rel.)
19.4	4.574	37
32.5	2.751	100
33.9	2.641	71
39.4	2.287	6
47.7	1.905	35
57.2	1.611	11
59.9	1.545	36
60.7	1.525	13
64.6	1.442	14
68.2	1.376	6

***

No. 3
Diffraction record for V5OsRh4. The powder diffraction line list is calculated, not measured: it uses a structure optimized by DFT (GGA-PBE) and Cu Kα X-rays.

Crystal structure
Unit cell a=2.7598 b=2.7598 c=18.1091 alpha=90.00 beta=90.00 gamma=90.00
Element x y z (fractional)
V  0.0000  0.0000  0.0000
V  0.0000  0.0000  0.2003
V  0.0000  0.0000  0.4011
V  0.0000  0.0000  0.5989
V  0.0000  0.0000  0.7997
Os  0.5000  0.5000  0.5000
Rh  0.5000  0.5000  0.1001
Rh  0.5000  0.5000  0.3012
Rh  0.5000  0.5000  0.6988
Rh  0.5000  0.5000  0.8999

Peak list (10 most intense, 2θ from 5° to 70°, sorted by position)
2theta	d_spacing	I (rel.)
9.8	9.055	7
14.7	6.036	3
24.6	3.622	17
32.4	2.760	17
41.1	2.195	100
46.5	1.952	35
50.4	1.811	14
53.3	1.718	9
61.2	1.514	6
67.9	1.380	11

***

No. 4
Diffraction record for Li2ZrHgSe4. The powder diffraction line list is calculated, not measured: it uses a structure optimized by DFT (GGA-PBE) and Cu Kα X-rays.

Crystal structure
Unit cell a=6.8759 b=3.9225 c=7.1664 alpha=90.00 beta=112.61 gamma=90.00
Element x y z (fractional)
Li  0.0000  0.0000  0.0000
Li  0.0000  0.5000  0.5000
Zr  0.5000  0.0000  0.5000
Hg  0.5000  0.5000  0.0000
Se  0.2375  0.5000  0.2751
Se  0.2670  0.0000  0.7366
Se  0.7330  0.0000  0.2634
Se  0.7625  0.5000  0.7249

Peak list (10 most intense, 2θ from 5° to 70°, sorted by position)
2theta	d_spacing	I (rel.)
14.0	6.347	78
25.1	3.545	22
26.4	3.374	32
30.6	2.918	53
32.4	2.763	100
44.4	2.039	37
45.9	1.975	35
46.3	1.961	25
46.7	1.946	19
56.5	1.628	18

***

No. 5
Diffraction record for TeP2Rh. The powder diffraction line list is calculated, not measured: it uses a structure optimized by DFT (GGA-PBE) and Cu Kα X-rays.

Crystal structure
Unit cell a=4.0177 b=4.0177 c=6.1828 alpha=100.04 beta=100.04 gamma=53.77
Element x y z (fractional)
Te  0.0000  0.0000  0.0000
P  0.5325  0.5325  0.5804
P  0.6660  0.6660  0.2989
Rh  0.2332  0.2332  0.7134

Peak list (10 most intense, 2θ from 5° to 70°, sorted by position)
2theta	d_spacing	I (rel.)
14.6	6.064	51
26.7	3.337	27
27.6	3.228	26
32.6	2.749	100
35.1	2.556	33
38.9	2.316	25
43.0	2.102	18
46.1	1.970	42
50.2	1.817	16
51.1	1.786	22

***

No. 6
Diffraction record for NpZn11. The powder diffraction line list is calculated, not measured: it uses a structure optimized by DFT (GGA-PBE) and Cu Kα X-rays.

Crystal structure
Unit cell a=8.2163 b=8.2163 c=8.2163 alpha=100.07 beta=100.07 gamma=130.57
Element x y z (fractional)
Np  0.3750  0.6250  0.7500
Np  0.6250  0.3750  0.2500
Zn  0.0000  0.0000  0.0000
Zn  0.0000  0.0000  0.5000
Zn  0.0000  0.5000  0.0000
Zn  0.1250  0.8750  0.2500
Zn  0.1300  0.5540  0.3338
Zn  0.1300  0.7961  0.5760
Zn  0.2039  0.2799  0.3338
Zn  0.2039  0.8700  0.9240
Zn  0.2799  0.2039  0.8338
Zn  0.2799  0.4460  0.0760
Zn  0.4460  0.2799  0.5760
Zn  0.4460  0.8700  0.1662
Zn  0.5000  0.0000  0.5000
Zn  0.5540  0.1300  0.8338
Zn  0.5540  0.7201  0.4240
Zn  0.7201  0.5540  0.9240
Zn  0.7201  0.7961  0.1662
Zn  0.7961  0.1300  0.0760
Zn  0.7961  0.7201  0.6662
Zn  0.8700  0.2039  0.4240
Zn  0.8700  0.4460  0.6662
Zn  0.8750  0.1250  0.7500

Peak list (10 most intense, 2θ from 5° to 70°, sorted by position)
2theta	d_spacing	I (rel.)
22.9	3.891	14
28.6	3.121	18
33.3	2.693	40
37.6	2.394	100
38.1	2.360	59
40.3	2.238	27
44.9	2.018	21
46.7	1.945	17
57.5	1.602	19
68.5	1.369	27